The following is a theoretical PXRD pattern of SmSc2Tl. It was derived from a crystal structure in Alexandria, relaxed with PBE, using Cu Kα, 1.54184 Å.
Kinematic intensities with the Lorentz-polarization factor, no thermal factor.

Largest 8 diffraction maxima, most intense first, 2θ = 5–70°:
d/Å, two_theta, intensity
2.702, 33.2, 1000
2.350, 38.3, 336
4.643, 19.1, 326
3.323, 26.8, 295
1.415, 66.0, 267
1.651, 55.7, 225
2.096, 43.2, 174
2.321, 38.8, 162

Crystal structure
```
data_SmSc2Tl
_chemical_formula_sum 'Sm1 Sc2 Tl1'
_cell_length_a 4.6992
_cell_length_b 4.6992
_cell_length_c 4.6430
_cell_angle_alpha 90.00
_cell_angle_beta 90.00
_cell_angle_gamma 90.00
_space_group_name_H-M_alt 'P 4/m m m'
_space_group_IT_number 123
_space_group_name_Hall '-P 4 2'
loop_
_atom_site_label
_atom_site_fract_x
_atom_site_fract_y
_atom_site_fract_z
_atom_site_occupancy
Sm1 0.0000 0.0000 0.0000 1
Sc1 0.0000 0.5000 0.5000 1
Tl1 0.5000 0.5000 0.0000 1
```